For Na2V6O15, a DFT-relaxed cell (PBE+U, the Materials Project) gives the computed X-ray powder pattern in this record (λ = 1.5418 Å (Cu Kα)).
No peak broadening, texture or thermal motion is included.

```
Na2V6O15
1.0
7.892 -1.833 0.000
7.892 1.833 0.000
-2.405 0.000 10.342
Na V O
2 6 15
direct
0.000 0.000 0.000
0.085 0.085 0.692
0.217 0.217 0.244
0.259 0.259 0.941
0.439 0.439 0.248
0.661 0.661 0.457
0.826 0.826 0.753
0.868 0.868 0.442
0.120 0.120 0.151
0.152 0.152 0.905
0.172 0.172 0.417
0.284 0.284 0.127
0.286 0.286 0.768
0.355 0.355 0.387
0.449 0.449 0.095
0.542 0.542 0.345
0.638 0.638 0.601
0.733 0.733 0.300
0.794 0.794 0.930
0.796 0.796 0.555
0.910 0.910 0.273
0.934 0.934 0.790
0.963 0.963 0.540
```

The 10 most intense peaks (5 to 70 degrees two-theta), in order of rising 2θ:
d/Å  intensity
10.342  76.2
7.687  88.7
5.171  19.6
3.901  16.9
3.427  100.0
3.363  72.2
2.915  42.2
2.744  31.1
1.833  35.2
1.609  26.2